Simulated PXRD pattern
Compound: NdTa3O9
Radiation: Cu Kα (λ = 1.5418 Å)
Structure: a DFT-relaxed cell (PBE, the Materials Project)
No peak broadening, texture or thermal motion is included.

Principal peaks in the range 2θ = 10–80°, low angle first:
23.37°, I = 70.3; 26.46°, I = 100.0; 27.59°, I = 75.8; 28.63°, I = 43.1; 30.38°, I = 44.9; 30.88°, I = 78.7; 32.96°, I = 57.9; 35.59°, I = 37.4; 47.79°, I = 35.4; 53.96°, I = 34.5

```
data_NdTa3O9
_cell_length_a 5.4398
_cell_length_b 7.6130
_cell_length_c 8.3087
_cell_angle_alpha 90.00
_cell_angle_beta 92.42
_cell_angle_gamma 90.00
_symmetry_space_group_name_H-M 'P 1 21/m 1'
_symmetry_Int_Tables_number 11
loop_
_symmetry_equiv_pos_as_xyz
'x,y,z'
'-x,-y,-z'
'-x,y+1/2,-z'
'x,-y+1/2,z'
loop_
_atom_site_label
_atom_site_fract_x
_atom_site_fract_y
_atom_site_fract_z
_atom_site_occupancy
Nd1 0.0345 0.2500 0.4345 1
Ta1 0.0000 0.0000 0.0000 1
Ta2 0.4732 0.0068 0.6983 1
O1 0.0835 0.2500 0.9824 1
O2 0.1549 0.5570 0.7874 1
O3 0.2648 0.5379 0.4673 1
O4 0.3181 0.5470 0.1225 1
O5 0.3521 0.2500 0.6610 1
O6 0.4394 0.2500 0.3133 1
```